(1)
Diffraction record for MgBi8P8O32. The powder diffraction line list is calculated, not measured: it uses a structure optimized by DFT (PBE) and copper Kα.
Intensities are scaled so that the largest is 100.

The 8 most intense peaks (2θ from 10° to 80°), by intensity:
| 2θ (°) | I_rel |
| --- | --- |
| 10.54 | 100 |
| 21.81 | 24 |
| 28.68 | 24 |
| 21.20 | 22 |
| 25.68 | 20 |
| 26.97 | 20 |
| 29.31 | 18 |
| 22.00 | 15 |

Structure:
```
data_MgBi8P8O32
_cell_length_a 5.5485
_cell_length_b 9.7194
_cell_length_c 16.9016
_cell_angle_alpha 84.89
_cell_angle_beta 83.51
_cell_angle_gamma 75.87
_symmetry_space_group_name_H-M 'P 1'
_symmetry_Int_Tables_number 1
_symmetry_space_group_name_Hall 'P 1'
loop_
_atom_site_label
_atom_site_type_symbol
_atom_site_fract_x
_atom_site_fract_y
_atom_site_fract_z
_atom_site_occupancy
Mg1 Mg 0.0000 0.0000 0.0000 1
Bi1 Bi 0.1702 0.1528 0.1215 1
Bi2 Bi 0.2182 0.6500 0.6612 1
Bi3 Bi 0.3073 0.1913 0.3936 1
Bi4 Bi 0.5626 0.4321 0.1796 1
Bi5 Bi 0.6613 0.9617 0.6706 1
Bi6 Bi 0.9466 0.7845 0.1797 1
Bi7 Bi 0.9709 0.6737 0.9148 1
Bi8 Bi 0.9838 0.2786 0.6627 1
P1 P 0.0373 0.4606 0.3017 1
P2 P 0.1315 0.9443 0.7986 1
P3 P 0.1410 0.4530 0.0439 1
P4 P 0.1717 0.9582 0.5524 1
P5 P 0.4629 0.3192 0.5672 1
P6 P 0.5524 0.7999 0.0622 1
P7 P 0.7527 0.5852 0.7551 1
P8 P 0.7800 0.0633 0.2558 1
O1 O 0.0012 0.8504 0.5669 1
O2 O 0.0062 0.1050 0.5801 1
O3 O 0.0249 0.4879 0.7436 1
O4 O 0.0451 0.9417 0.8894 1
O5 O 0.0558 0.4258 0.3917 1
O6 O 0.0584 0.9820 0.2393 1
O7 O 0.0925 0.4482 0.9550 1
O8 O 0.1058 0.6033 0.2685 1
O9 O 0.1190 0.6096 0.0604 1
O10 O 0.1270 0.7922 0.7720 1
O11 O 0.2080 0.4314 0.5832 1
O12 O 0.2524 0.3390 0.2613 1
O13 O 0.2719 0.8759 0.0660 1
O14 O 0.2842 0.9779 0.4669 1
O15 O 0.3800 0.8906 0.6101 1
O16 O 0.3933 0.3520 0.0624 1
O17 O 0.3964 0.9710 0.7833 1
O18 O 0.4286 0.1975 0.6348 1
O19 O 0.4980 0.2602 0.4844 1
O20 O 0.5548 0.5125 0.7336 1
O21 O 0.6030 0.7086 0.1424 1
O22 O 0.6147 0.7077 0.9891 1
O23 O 0.6258 0.9585 0.2371 1
O24 O 0.6823 0.3814 0.5809 1
O25 O 0.6943 0.6346 0.8404 1
O26 O 0.7076 0.1190 0.3399 1
O27 O 0.7250 0.9078 0.0543 1
O28 O 0.7564 0.1963 0.1921 1
O29 O 0.7746 0.7111 0.6905 1
O30 O 0.7763 0.4590 0.2787 1
O31 O 0.9405 0.3897 0.0996 1
O32 O 0.9434 0.0596 0.7520 1
```

***

(2)
Diffraction record for Cr3InCo2S8. The powder diffraction line list is calculated, not measured: it uses a structure optimized by DFT (PBE) and copper Kα.
Intensities are scaled so that the largest is 100.

The 8 most intense peaks (2θ from 10° to 80°), by intensity:
| 2θ (°) | I_rel |
| --- | --- |
| 29.39 | 100 |
| 35.60 | 73 |
| 51.49 | 61 |
| 50.97 | 59 |
| 29.18 | 47 |
| 25.09 | 38 |
| 15.26 | 27 |
| 46.81 | 27 |

Structure:
```
data_Cr3InCo2S8
_cell_length_a 7.0988
_cell_length_b 7.0988
_cell_length_c 17.6412
_cell_angle_alpha 90.00
_cell_angle_beta 90.00
_cell_angle_gamma 120.00
_symmetry_space_group_name_H-M 'R -3 m'
_symmetry_Int_Tables_number 166
_symmetry_space_group_name_Hall '-R 3 2"'
loop_
_atom_site_label
_atom_site_type_symbol
_atom_site_fract_x
_atom_site_fract_y
_atom_site_fract_z
_atom_site_occupancy
Cr1 Cr 0.0000 0.5000 0.0000 1
In1 In 0.0000 0.0000 0.5000 1
Co1 Co 0.0000 0.0000 0.1256 1
S1 S 0.0000 0.0000 0.2582 1
S2 S 0.0057 0.5029 0.2588 1
```

***

(3)
Diffraction record for Dy3Co8Sn4. The powder diffraction line list is calculated, not measured: it uses a structure optimized by DFT (PBE) and copper Kα.
Intensities are scaled so that the largest is 100.

The 8 most intense peaks (2θ from 10° to 80°), by intensity:
| 2θ (°) | I_rel |
| --- | --- |
| 33.40 | 100 |
| 40.94 | 89 |
| 37.29 | 34 |
| 33.24 | 29 |
| 64.87 | 29 |
| 37.67 | 27 |
| 43.08 | 27 |
| 39.31 | 25 |

Structure:
```
data_Dy3Co8Sn4
_cell_length_a 8.8171
_cell_length_b 8.8171
_cell_length_c 7.5423
_cell_angle_alpha 90.00
_cell_angle_beta 90.00
_cell_angle_gamma 120.00
_symmetry_space_group_name_H-M 'P 63 m c'
_symmetry_Int_Tables_number 186
_symmetry_space_group_name_Hall 'P 6c -2c'
loop_
_atom_site_label
_atom_site_type_symbol
_atom_site_fract_x
_atom_site_fract_y
_atom_site_fract_z
_atom_site_occupancy
Dy1 Dy 0.0499 0.5249 0.0000 1
Co1 Co 0.0000 0.0000 0.2860 1
Co2 Co 0.0984 0.1968 0.0294 1
Co3 Co 0.1604 0.3208 0.3454 1
Co4 Co 0.3333 0.6667 0.6599 1
Sn1 Sn 0.1705 0.3410 0.7125 1
Sn2 Sn 0.3333 0.6667 0.3094 1
```

***

(4)
Diffraction record for GaI3. The powder diffraction line list is calculated, not measured: it uses a structure optimized by DFT (PBE) and copper Kα.
Intensities are scaled so that the largest is 100.

The 8 most intense peaks (2θ from 10° to 80°), by intensity:
| 2θ (°) | I_rel |
| --- | --- |
| 23.75 | 100 |
| 39.09 | 17 |
| 38.84 | 17 |
| 39.88 | 17 |
| 46.74 | 15 |
| 47.16 | 14 |
| 15.13 | 14 |
| 45.33 | 13 |

Structure:
```
data_GaI3
_cell_length_a 10.1510
_cell_length_b 6.6935
_cell_length_c 12.7116
_cell_angle_alpha 90.00
_cell_angle_beta 108.14
_cell_angle_gamma 90.00
_symmetry_space_group_name_H-M 'P 1 21/c 1'
_symmetry_Int_Tables_number 14
_symmetry_space_group_name_Hall '-P 2ybc'
loop_
_atom_site_label
_atom_site_type_symbol
_atom_site_fract_x
_atom_site_fract_y
_atom_site_fract_z
_atom_site_occupancy
Ga1 Ga 0.1911 0.0032 0.0469 1
I1 I 0.0011 0.7112 0.3897 1
I2 I 0.3182 0.2334 0.9553 1
I3 I 0.3239 0.7229 0.7018 1
```

***

(5)
Diffraction record for Rb2NdCl5. The powder diffraction line list is calculated, not measured: it uses a structure optimized by DFT (PBE) and copper Kα.
Intensities are scaled so that the largest is 100.

The 8 most intense peaks (2θ from 10° to 80°), by intensity:
| 2θ (°) | I_rel |
| --- | --- |
| 22.27 | 100 |
| 23.53 | 86 |
| 30.03 | 85 |
| 32.15 | 73 |
| 23.85 | 63 |
| 40.25 | 62 |
| 46.64 | 49 |
| 21.25 | 48 |

Structure:
```
data_Rb2NdCl5
_cell_length_a 13.6258
_cell_length_b 8.9203
_cell_length_c 8.3607
_cell_angle_alpha 90.00
_cell_angle_beta 90.00
_cell_angle_gamma 90.00
_symmetry_space_group_name_H-M 'P n m a'
_symmetry_Int_Tables_number 62
_symmetry_space_group_name_Hall '-P 2ac 2n'
loop_
_atom_site_label
_atom_site_type_symbol
_atom_site_fract_x
_atom_site_fract_y
_atom_site_fract_z
_atom_site_occupancy
Rb1 Rb 0.1742 0.0001 0.0343 1
Nd1 Nd 0.0029 0.2500 0.5710 1
Cl1 Cl 0.0124 0.2500 0.9059 1
Cl2 Cl 0.0798 0.5392 0.6516 1
Cl3 Cl 0.1633 0.2500 0.3658 1
Cl4 Cl 0.1942 0.7500 0.3328 1
```

***

(6)
Diffraction record for Ni5Ge2. The powder diffraction line list is calculated, not measured: it uses a structure optimized by DFT (PBE) and copper Kα.
Intensities are scaled so that the largest is 100.

The 8 most intense peaks (2θ from 10° to 80°), by intensity:
| 2θ (°) | I_rel |
| --- | --- |
| 46.26 | 100 |
| 45.14 | 87 |
| 42.26 | 24 |
| 66.62 | 17 |
| 41.21 | 15 |
| 50.41 | 14 |
| 51.61 | 11 |
| 76.95 | 10 |

Structure:
```
data_Ni5Ge2
_cell_length_a 6.7982
_cell_length_b 6.7982
_cell_length_c 12.4499
_cell_angle_alpha 90.00
_cell_angle_beta 90.00
_cell_angle_gamma 120.00
_symmetry_space_group_name_H-M 'P 63 c m'
_symmetry_Int_Tables_number 185
_symmetry_space_group_name_Hall 'P 6c -2'
loop_
_atom_site_label
_atom_site_type_symbol
_atom_site_fract_x
_atom_site_fract_y
_atom_site_fract_z
_atom_site_occupancy
Ni1 Ni 0.0000 0.0000 0.0000 1
Ni2 Ni 0.0000 0.2648 0.3317 1
Ni3 Ni 0.0000 0.3083 0.1241 1
Ni4 Ni 0.0000 0.3671 0.5267 1
Ni5 Ni 0.0000 0.3738 0.7359 1
Ni6 Ni 0.3333 0.6667 0.3556 1
Ge1 Ge 0.0000 0.0000 0.2036 1
Ge2 Ge 0.0000 0.3345 0.9315 1
Ge3 Ge 0.3333 0.6667 0.1492 1
```

***

(7)
Diffraction record for CrMo. The powder diffraction line list is calculated, not measured: it uses a structure optimized by DFT (PBE) and copper Kα.
Intensities are scaled so that the largest is 100.

The 8 most intense peaks (2θ from 10° to 80°), by intensity:
| 2θ (°) | I_rel |
| --- | --- |
| 42.06 | 100 |
| 41.55 | 26 |
| 42.85 | 24 |
| 76.16 | 16 |
| 61.22 | 15 |
| 77.96 | 15 |
| 21.05 | 13 |
| 76.32 | 8 |

Structure:
```
data_CrMo
_cell_length_a 3.0478
_cell_length_b 4.3469
_cell_length_c 4.2206
_cell_angle_alpha 90.00
_cell_angle_beta 90.00
_cell_angle_gamma 90.00
_symmetry_space_group_name_H-M 'C m m m'
_symmetry_Int_Tables_number 65
_symmetry_space_group_name_Hall '-C 2 2'
loop_
_atom_site_label
_atom_site_type_symbol
_atom_site_fract_x
_atom_site_fract_y
_atom_site_fract_z
_atom_site_occupancy
Cr1 Cr 0.0000 0.0000 0.0000 1
Mo1 Mo 0.0000 0.5000 0.5000 1
```